Entry 1:
Structure and theoretical powder diffractogram of Sr3ZnN (a DFT-relaxed cell (GGA-PBE, Alexandria); a wavelength of 1.5418 Å).
Intensities are scaled so that the largest is 100.

Atomic structure:
a b c (Å): 5.3194 5.1631 10.7930
angles (deg): 90.00 90.05 90.00
Element x y z (fractional)
Sr: 0.0004 0.2500 0.1085
Sr: 0.9996 0.7500 0.8915
Sr: 0.0009 0.7500 0.3733
Sr: 0.4996 0.2500 0.8368
Sr: 0.5004 0.7500 0.1632
Sr: 0.9991 0.2500 0.6267
Zn: 0.4992 0.2500 0.4193
Zn: 0.5008 0.7500 0.5807
N: 0.9996 0.2500 0.8564
N: 0.0004 0.7500 0.1436

Most intense lines, 10° ≤ 2θ ≤ 90°, by angle:
d_spacing  I/Imax
3.054  100
2.698  14
2.660  23
2.581  24
1.894  9
1.865  10
1.852  16
1.601  15
1.567  14
1.527  9

=====

Entry 2:
Structure and theoretical powder diffractogram of SrZnN (a DFT-relaxed cell (GGA-PBE, Alexandria); a wavelength of 1.5418 Å).
Intensities are scaled so that the largest is 100.

Atomic structure:
a b c (Å): 3.8988 3.8988 9.1437
angles (deg): 101.80 101.80 90.00
Element x y z (fractional)
Sr: 0.1832 0.1832 0.3619
Sr: 0.8168 0.8168 0.6381
Zn: 0.4284 0.4284 0.8652
Zn: 0.5716 0.5716 0.1348
N: 0.3229 0.3229 0.6549
N: 0.6771 0.6771 0.3451

Most intense lines, 10° ≤ 2θ ≤ 90°, by angle:
d_spacing  I/Imax
3.805  19
3.255  41
3.228  44
2.757  100
2.617  31
2.593  28
2.188  22
1.949  35
1.714  20
1.233  14

=====

Q: What is the formula in the first record?
A: Sr3ZnN